(1)
RbYNiF6: computed XRD peak list (Cu Kα), based on a crystal structure in Alexandria, relaxed with GGA+U.
No peak broadening, texture or thermal motion is included.

Crystal structure
Cell lengths 7.2779, 7.6798, 10.2586 Å; angles 90.00, 90.00, 90.00 degrees
Space group Imma (No. 74)
Inequivalent atoms, fractional coordinates:
Rb (0.0000, 0.2500, 0.0895) [4 per cell]
Y (0.0000, 0.0000, 0.5000) [4 per cell]
Ni (0.2500, 0.2500, 0.7500) [4 per cell]
F (0.0000, 0.2500, 0.3909) [4 per cell]
F (0.0000, 0.2500, 0.6666) [4 per cell]
F (0.2368, 0.0571, 0.8841) [16 per cell]

Main lines, by intensity (2θ from 10° to 80°):
- (0 1 3), 2θ 28.53, intensity 100
- (1 2 1), 2θ 27.67, intensity 74
- (2 2 4), 2θ 49.54, intensity 65
- (2 0 2), 2θ 30.11, intensity 52
- (0 3 3), 2θ 44.19, intensity 32
- (0 2 2), 2θ 29.05, intensity 31
- (1 1 2), 2θ 24.19, intensity 31
- (3 2 1), 2θ 45.08, intensity 24
- (1 2 3), 2θ 37.32, intensity 23
- (4 0 0), 2θ 50.14, intensity 23
- (0 1 1), 2θ 14.41, intensity 19
- (0 4 0), 2θ 47.35, intensity 19



(2)
Li5Ti2Ni3O10: computed XRD peak list (Cu Kα), based on a crystal structure in Alexandria, relaxed with GGA+U.
No peak broadening, texture or thermal motion is included.

Crystal structure
Cell lengths 5.1050, 5.1413, 7.7337 Å; angles 108.82, 101.30, 100.69 degrees
Space group P-1 (No. 2)
Inequivalent atoms, fractional coordinates:
Li (0.0000, 0.0000, 0.0000) [1 per cell]
Li (0.0932, 0.1941, 0.7040) [2 per cell]
Li (0.2806, 0.5997, 0.1031) [2 per cell]
Ti (0.3958, 0.7796, 0.8077) [2 per cell]
Ni (0.1968, 0.3943, 0.3998) [2 per cell]
Ni (0.5000, 0.0000, 0.5000) [1 per cell]
O (0.0641, 0.6099, 0.8423) [2 per cell]
O (0.1757, 0.8035, 0.5587) [2 per cell]
O (0.2795, 0.0138, 0.2704) [2 per cell]
O (0.3644, 0.1779, 0.9589) [2 per cell]
O (0.4515, 0.4170, 0.6559) [2 per cell]

Main lines, by intensity (2θ from 10° to 80°):
- (-1 2 1), 2θ 43.10, intensity 100
- (0 0 1), 2θ 12.58, intensity 83
- (0 1 -1), 2θ 18.41, intensity 78
- (2 1 -2), 2θ 43.95, intensity 47
- (0 1 4), 2θ 63.00, intensity 26
- (0 2 -1), 2θ 35.53, intensity 19
- (1 0 -2), 2θ 26.95, intensity 19
- (2 -3 2), 2θ 62.23, intensity 14
- (3 0 1), 2θ 62.72, intensity 13
- (-3 1 3), 2θ 63.42, intensity 13
- (1 -1 0), 2θ 22.63, intensity 13
- (1 2 -5), 2θ 63.83, intensity 12